Entry 1:
For PrSm14Sc, the GGA-PBE geometry in Alexandria gives the computed powder diffraction line list in this record (a wavelength of 1.5418 Å).
Neutral-atom scattering factors, no anomalous dispersion.

Atomic structure:
Cell: 7.229 7.229 10.191 Å, 90.00 90.00 90.00°
Space group P4/mmm (No. 123)
Symmetry-distinct sites (fractional):
Pr 0.000 0.000 0.000 [1 per cell]
Sm 0.000 0.000 0.500 [1 per cell]
Sm 0.000 0.500 0.000 [2 per cell]
Sm 0.000 0.500 0.500 [2 per cell]
Sm 0.253 0.253 0.247 [8 per cell]
Sm 0.500 0.500 0.500 [1 per cell]
Sc 0.500 0.500 0.000 [1 per cell]

Top 10 peaks for 2θ = 5–70°, by angle:
2θ 15.03, 5.896 Å, I 1, hkl 1 0 1
2θ 19.43, 4.569 Å, I 1, hkl 1 1 1
2θ 26.18, 3.404 Å, I 1, hkl 0 0 3
2θ 30.32, 2.948 Å, I 100, hkl 2 0 2
2θ 35.11, 2.556 Å, I 34, hkl 2 2 0
2θ 35.23, 2.548 Å, I 17, hkl 0 0 4
2θ 50.56, 1.805 Å, I 36, hkl 4 0 0
2θ 60.04, 1.541 Å, I 29, hkl 4 2 2
2θ 60.20, 1.537 Å, I 14, hkl 2 0 6
2θ 63.06, 1.474 Å, I 12, hkl 4 0 4

=====

Entry 2:
For Pr3Sm5Sc2, the GGA-PBE geometry in Alexandria gives the computed powder diffraction line list in this record (a wavelength of 1.5418 Å).
Neutral-atom scattering factors, no anomalous dispersion.

Atomic structure:
Cell: 9.467 9.471 9.471 Å, 106.64 106.70 115.20°
Space group P-1 (No. 2)
Symmetry-distinct sites (fractional):
Pr 0.028 0.074 0.348 [2 per cell]
Pr 0.179 0.529 0.448 [2 per cell]
Pr 0.421 0.270 0.948 [2 per cell]
Sm 0.120 0.371 0.751 [2 per cell]
Sm 0.225 0.679 0.151 [2 per cell]
Sm 0.272 0.825 0.847 [2 per cell]
Sm 0.368 0.118 0.249 [2 per cell]
Sm 0.480 0.426 0.654 [2 per cell]
Sc 0.072 0.220 0.049 [2 per cell]
Sc 0.333 0.977 0.549 [2 per cell]

Top 10 peaks for 2θ = 5–70°, by angle:
2θ 19.61, 4.527 Å, I 5, hkl 1 0 1
2θ 20.74, 4.284 Å, I 3, hkl 0 2 -1
2θ 30.58, 2.923 Å, I 100, hkl 0 2 1
2θ 35.39, 2.537 Å, I 17, hkl 2 2 -2
2θ 35.50, 2.529 Å, I 34, hkl 1 -1 3
2θ 51.00, 1.791 Å, I 29, hkl -2 2 4
2θ 51.11, 1.787 Å, I 6, hkl 4 -4 2
2θ 60.56, 1.529 Å, I 14, hkl 2 4 -1
2θ 60.71, 1.525 Å, I 28, hkl 1 1 4
2θ 63.67, 1.462 Å, I 12, hkl 0 4 2

=====

Entry 3:
For Pr5Sm2Sc2, the GGA-PBE geometry in Alexandria gives the computed powder diffraction line list in this record (a wavelength of 1.5418 Å).
Neutral-atom scattering factors, no anomalous dispersion.

Atomic structure:
Cell: 5.584 21.170 10.116 Å, 90.00 90.00 90.00°
Space group Imma (No. 74)
Symmetry-distinct sites (fractional):
Pr 0.000 0.110 0.136 [8 per cell]
Pr 0.000 0.156 0.628 [8 per cell]
Pr 0.000 0.250 0.341 [4 per cell]
Sm 0.000 0.000 0.500 [4 per cell]
Sm 0.000 0.250 0.939 [4 per cell]
Sc 0.000 0.045 0.838 [8 per cell]

Top 10 peaks for 2θ = 5–70°, by angle:
2θ 26.93, 3.311 Å, I 59, hkl 1 3 2
2θ 30.86, 2.897 Å, I 20, hkl 0 7 1
2θ 31.26, 2.861 Å, I 43, hkl 1 6 1
2θ 31.88, 2.807 Å, I 79, hkl 1 5 2
2θ 32.10, 2.788 Å, I 100, hkl 2 0 0
2θ 33.87, 2.646 Å, I 13, hkl 0 8 0
2θ 45.08, 2.011 Å, I 15, hkl 2 7 1
2θ 53.69, 1.707 Å, I 17, hkl 1 10 3
2θ 57.03, 1.615 Å, I 15, hkl 3 5 2
2θ 57.22, 1.610 Å, I 16, hkl 3 2 3

=====

Entry 4:
For PrSm6Sc3, the GGA-PBE geometry in Alexandria gives the computed powder diffraction line list in this record (a wavelength of 1.5418 Å).
Neutral-atom scattering factors, no anomalous dispersion.

Atomic structure:
Cell: 9.707 20.713 6.236 Å, 90.00 90.00 90.00°
Space group Cmc2_1 (No. 36)
Symmetry-distinct sites (fractional):
Pr 0.000 0.234 0.000 [4 per cell]
Sm 0.000 0.048 0.575 [4 per cell]
Sm 0.000 0.335 0.432 [4 per cell]
Sm 0.176 0.475 0.249 [8 per cell]
Sm 0.199 0.196 0.579 [8 per cell]
Sc 0.000 0.390 0.900 [4 per cell]
Sc 0.179 0.112 0.123 [8 per cell]

Top 10 peaks for 2θ = 5–70°, by angle:
2θ 16.59, 5.342 Å, I 21, hkl 0 2 1
2θ 17.12, 5.178 Å, I 21, hkl 0 4 0
2θ 29.00, 3.079 Å, I 84, hkl 2 4 1
2θ 29.58, 3.020 Å, I 52, hkl 0 6 1
2θ 29.93, 2.986 Å, I 38, hkl 0 2 2
2θ 30.49, 2.932 Å, I 100, hkl 3 3 0
2θ 33.80, 2.652 Å, I 50, hkl 3 3 1
2θ 34.18, 2.623 Å, I 23, hkl 2 0 2
2θ 34.81, 2.577 Å, I 40, hkl 1 7 1
2θ 35.29, 2.543 Å, I 21, hkl 2 2 2

=====

Entry 5:
For PrSm4Sc3, the GGA-PBE geometry in Alexandria gives the computed powder diffraction line list in this record (a wavelength of 1.5418 Å).
Neutral-atom scattering factors, no anomalous dispersion.

Atomic structure:
Cell: 15.828 5.636 5.898 Å, 90.00 111.25 90.00°
Space group C2/m (No. 12)
Symmetry-distinct sites (fractional):
Pr 0.000 0.000 0.000 [2 per cell]
Sm 0.131 0.000 0.578 [4 per cell]
Sm 0.245 0.500 0.806 [4 per cell]
Sc 0.000 0.500 0.500 [2 per cell]
Sc 0.128 0.500 0.182 [4 per cell]

Top 10 peaks for 2θ = 5–70°, by angle:
2θ 16.84, 5.264 Å, I 34, hkl 1 1 0
2θ 23.68, 3.757 Å, I 35, hkl 4 0 -1
2θ 30.31, 2.949 Å, I 41, hkl 2 0 -2
2θ 31.76, 2.818 Å, I 56, hkl 0 2 0
2θ 32.63, 2.744 Å, I 100, hkl 3 1 1
2θ 32.88, 2.724 Å, I 87, hkl 5 1 -1
2θ 34.81, 2.577 Å, I 40, hkl 1 1 -2
2θ 40.00, 2.254 Å, I 18, hkl 4 2 -1
2θ 44.47, 2.037 Å, I 29, hkl 2 2 -2
2θ 57.13, 1.612 Å, I 20, hkl 3 3 1

=====

Entry 6:
For PrSm7Sc3, the GGA-PBE geometry in Alexandria gives the computed powder diffraction line list in this record (a wavelength of 1.5418 Å).
Neutral-atom scattering factors, no anomalous dispersion.

Atomic structure:
Cell: 5.825 10.704 11.356 Å, 90.00 90.00 90.00°
Space group Immm (No. 71)
Symmetry-distinct sites (fractional):
Pr 0.000 0.000 0.000 [2 per cell]
Sm 0.000 0.192 0.294 [8 per cell]
Sm 0.000 0.304 0.000 [4 per cell]
Sm 0.000 0.500 0.500 [2 per cell]
Sc 0.000 0.000 0.500 [2 per cell]
Sc 0.000 0.500 0.208 [4 per cell]

Top 10 peaks for 2θ = 5–70°, by angle:
2θ 22.83, 3.895 Å, I 28, hkl 0 2 2
2θ 26.18, 3.404 Å, I 48, hkl 0 3 1
2θ 28.11, 3.174 Å, I 40, hkl 1 0 3
2θ 30.69, 2.913 Å, I 73, hkl 2 0 0
2θ 31.51, 2.839 Å, I 35, hkl 0 0 4
2θ 32.80, 2.730 Å, I 64, hkl 1 2 3
2θ 33.42, 2.681 Å, I 100, hkl 1 3 2
2θ 40.77, 2.213 Å, I 30, hkl 2 3 1
2θ 44.57, 2.033 Å, I 27, hkl 2 0 4
2θ 48.04, 1.894 Å, I 28, hkl 1 5 2

=====

Entry 7:
For Pr2Sm12Sc, the GGA-PBE geometry in Alexandria gives the computed powder diffraction line list in this record (a wavelength of 1.5418 Å).
Neutral-atom scattering factors, no anomalous dispersion.

Atomic structure:
Cell: 7.187 11.514 24.844 Å, 90.00 90.00 90.00°
Space group Cmme (No. 67)
Symmetry-distinct sites (fractional):
Pr 0.000 0.250 0.229 [4 per cell]
Pr 0.000 0.250 0.763 [4 per cell]
Sm 0.000 0.001 0.572 [8 per cell]
Sm 0.000 0.024 0.060 [8 per cell]
Sm 0.230 0.250 0.917 [8 per cell]
Sm 0.248 0.250 0.378 [8 per cell]
Sm 0.250 0.000 0.174 [8 per cell]
Sm 0.250 0.000 0.304 [8 per cell]
Sc 0.000 0.250 0.500 [4 per cell]

Top 10 peaks for 2θ = 5–70°, by angle:
2θ 28.72, 3.109 Å, I 31, hkl 2 0 4
2θ 29.57, 3.021 Å, I 37, hkl 0 2 7
2θ 30.19, 2.961 Å, I 100, hkl 2 2 2
2θ 31.07, 2.879 Å, I 70, hkl 0 4 0
2θ 32.75, 2.734 Å, I 91, hkl 0 2 8
2θ 36.60, 2.455 Å, I 44, hkl 2 2 6
2θ 42.81, 2.112 Å, I 20, hkl 2 4 4
2θ 50.82, 1.797 Å, I 18, hkl 4 0 0
2θ 60.77, 1.524 Å, I 20, hkl 4 4 0
2θ 61.79, 1.501 Å, I 19, hkl 4 2 8

=====

Entry 8:
For PrSm6Sc3, the GGA-PBE geometry in Alexandria gives the computed powder diffraction line list in this record (a wavelength of 1.5418 Å).
Neutral-atom scattering factors, no anomalous dispersion.

Atomic structure:
Cell: 9.7558 9.7558 11.5368 Å, 90.00 90.00 120.00°
Space group R32 (No. 155, hexagonal axes)
Symmetry-distinct sites (fractional):
Pr 0.0000 0.0000 0.0000 [3 per cell]
Sm 0.0000 0.3386 0.0000 [9 per cell]
Sm 0.0000 0.6672 0.5000 [9 per cell]
Sc 0.0000 0.0000 0.2606 [6 per cell]
Sc 0.0000 0.0000 0.5000 [3 per cell]

Top 10 peaks for 2θ = 5–70°, by angle:
2θ 18.19, 4.878 Å, I 7, hkl 1 1 0
2θ 29.58, 3.020 Å, I 100, hkl 1 1 3
2θ 31.77, 2.816 Å, I 93, hkl 3 0 0
2θ 42.22, 2.140 Å, I 5, hkl 2 1 4
2θ 43.96, 2.060 Å, I 34, hkl 2 2 3
2θ 47.27, 1.923 Å, I 7, hkl 0 0 6
2θ 55.25, 1.662 Å, I 35, hkl 4 1 3
2θ 56.61, 1.626 Å, I 18, hkl 3 3 0
2θ 58.09, 1.588 Å, I 24, hkl 3 0 6
2θ 66.39, 1.408 Å, I 11, hkl 6 0 0

=====

Entry 9:
For Pr4SmSc3, the GGA-PBE geometry in Alexandria gives the computed powder diffraction line list in this record (a wavelength of 1.5418 Å).
Neutral-atom scattering factors, no anomalous dispersion.

Atomic structure:
Cell: 27.531 3.484 5.738 Å, 90.00 93.79 90.00°
Space group C2/m (No. 12)
Symmetry-distinct sites (fractional):
Pr 0.100 0.000 0.032 [4 per cell]
Pr 0.189 0.000 0.562 [4 per cell]
Sm 0.000 0.000 0.500 [2 per cell]
Sc 0.000 0.500 0.000 [2 per cell]
Sc 0.206 0.500 0.071 [4 per cell]

Top 10 peaks for 2θ = 5–70°, by angle:
2θ 20.85, 4.261 Å, I 43, hkl 4 0 1
2θ 24.07, 3.697 Å, I 59, hkl 6 0 -1
2θ 25.75, 3.459 Å, I 79, hkl 6 0 1
2θ 31.25, 2.863 Å, I 59, hkl 0 0 2
2θ 32.60, 2.747 Å, I 52, hkl 10 0 0
2θ 33.75, 2.655 Å, I 92, hkl 5 1 -1
2θ 34.77, 2.580 Å, I 100, hkl 5 1 1
2θ 40.76, 2.214 Å, I 29, hkl 1 1 -2
2θ 44.64, 2.030 Å, I 24, hkl 11 1 0
2θ 58.58, 1.576 Å, I 22, hkl 5 1 3

=====

Entry 10:
For Pr8Sm5Sc, the GGA-PBE geometry in Alexandria gives the computed powder diffraction line list in this record (a wavelength of 1.5418 Å).
Neutral-atom scattering factors, no anomalous dispersion.

Atomic structure:
Cell: 15.777 8.567 8.720 Å, 90.00 122.61 90.00°
Space group C2 (No. 5)
Symmetry-distinct sites (fractional):
Pr 0.124 0.000 0.184 [4 per cell]
Pr 0.165 0.603 0.206 [4 per cell]
Pr 0.185 0.296 0.922 [4 per cell]
Pr 0.192 0.783 0.575 [4 per cell]
Sm 0.000 0.050 0.500 [2 per cell]
Sm 0.049 0.703 0.763 [4 per cell]
Sm 0.101 0.379 0.463 [4 per cell]
Sc 0.000 0.332 0.000 [2 per cell]

Top 10 peaks for 2θ = 5–70°, by angle:
2θ 23.98, 3.712 Å, I 20, hkl 3 1 -2
2θ 24.15, 3.686 Å, I 17, hkl 2 2 -1
2θ 29.23, 3.055 Å, I 40, hkl 2 2 -2
2θ 30.41, 2.940 Å, I 84, hkl 1 1 2
2θ 30.75, 2.908 Å, I 100, hkl 5 1 -1
2θ 30.89, 2.895 Å, I 54, hkl 4 2 -1
2θ 31.62, 2.829 Å, I 50, hkl 4 0 -3
2θ 32.08, 2.790 Å, I 57, hkl 1 3 0
2θ 33.01, 2.714 Å, I 22, hkl 1 3 -1
2θ 56.04, 1.641 Å, I 16, hkl 9 1 -4

=====

Entry 11:
For Pr5Sm2Sc2, the GGA-PBE geometry in Alexandria gives the computed powder diffraction line list in this record (a wavelength of 1.5418 Å).
Neutral-atom scattering factors, no anomalous dispersion.

Atomic structure:
Cell: 20.134 3.501 8.667 Å, 90.00 102.54 90.00°
Space group C2/m (No. 12)
Symmetry-distinct sites (fractional):
Pr 0.000 0.000 0.000 [2 per cell]
Pr 0.163 0.500 0.989 [4 per cell]
Pr 0.218 0.000 0.646 [4 per cell]
Sm 0.055 0.000 0.660 [4 per cell]
Sc 0.099 0.500 0.346 [4 per cell]

Top 10 peaks for 2θ = 5–70°, by angle:
2θ 27.57, 3.236 Å, I 52, hkl 1 1 -1
2θ 28.91, 3.088 Å, I 39, hkl 3 1 0
2θ 30.68, 2.914 Å, I 100, hkl 6 0 -2
2θ 31.35, 2.853 Å, I 92, hkl 6 0 1
2θ 31.73, 2.820 Å, I 88, hkl 0 0 3
2θ 31.85, 2.810 Å, I 42, hkl 3 1 1
2θ 34.16, 2.624 Å, I 69, hkl 1 1 2
2θ 34.41, 2.606 Å, I 35, hkl 5 1 -1
2θ 61.82, 1.501 Å, I 26, hkl 6 2 -2
2θ 62.21, 1.492 Å, I 25, hkl 6 2 1

=====

Entry 12:
For Pr3Sm3Sc, the GGA-PBE geometry in Alexandria gives the computed powder diffraction line list in this record (a wavelength of 1.5418 Å).
Neutral-atom scattering factors, no anomalous dispersion.

Atomic structure:
Cell: 9.6781 9.6781 5.8125 Å, 90.00 90.00 120.00°
Space group P6_3/m (No. 176)
Symmetry-distinct sites (fractional):
Pr 0.0540 0.8076 0.2500 [6 per cell]
Sm 0.0975 0.6148 0.7500 [6 per cell]
Sc 0.3333 0.6667 0.2500 [2 per cell]

Top 10 peaks for 2θ = 5–70°, by angle:
2θ 18.58, 4.776 Å, I 5, hkl 1 0 1
2θ 28.17, 3.168 Å, I 24, hkl 1 2 0
2θ 30.77, 2.906 Å, I 25, hkl 0 0 2
2θ 32.18, 2.782 Å, I 100, hkl 1 2 1
2θ 42.20, 2.142 Å, I 16, hkl 1 2 2
2θ 49.86, 1.829 Å, I 20, hkl 4 1 0
2θ 55.60, 1.653 Å, I 21, hkl 1 2 3
2θ 59.74, 1.548 Å, I 23, hkl 4 1 2
2θ 60.59, 1.528 Å, I 16, hkl 2 4 1
2θ 67.32, 1.391 Å, I 4, hkl 2 4 2